Starting from a crystal structure in Alexandria, relaxed with PBE, the XRD peak list of NaSrNp2O8 was calculated for Cu Kα (λ = 1.5418 Å).
Lines closer than 0.1° are merged.

Largest 12 diffraction maxima, sorted by position, 2θ from 5° to 70°:
| 2θ/deg | I/Imax |
| --- | --- |
| 18.2 | 62 |
| 28.6 | 100 |
| 30.3 | 15 |
| 32.5 | 22 |
| 34.3 | 10 |
| 37.5 | 17 |
| 45.1 | 12 |
| 46.7 | 18 |
| 48.0 | 34 |
| 55.6 | 32 |
| 58.0 | 14 |
| 59.2 | 10 |

Structural model:
```
data_NaSrNp2O8
_chemical_formula_sum 'Na2 Sr2 Np4 O16'
_space_group_name_H-M_alt 'I -4'
_space_group_IT_number 82
_space_group_name_Hall 'I -4'
_cell_length_a 5.5053
_cell_length_b 5.5053
_cell_length_c 10.4579
_cell_angle_alpha 90.00
_cell_angle_beta 90.00
_cell_angle_gamma 90.00
loop_
_atom_site_label
_atom_site_type_symbol
_atom_site_fract_x
_atom_site_fract_y
_atom_site_fract_z
Na1 Na 0.0000 0.0000 0.0000
Sr1 Sr 0.0000 0.5000 0.7500
Np1 Np 0.0000 0.0000 0.5000
Np2 Np 0.0000 0.5000 0.2500
O1 O 0.2127 0.2750 0.3601
O2 O 0.2140 0.7719 0.3920
```